For Li4SbSe4, a GGA-PBE-relaxed structure gives the calculated powder diffractogram in this record (copper Kα).
Neutral-atom scattering factors, no anomalous dispersion.

Atomic structure:
Lattice parameters (Å, degrees): 7.4374 7.4374 7.4374 129.32 129.32 74.50
Sites, in units of the cell vectors:
Li  0.0000  0.5000  0.5000
Li  0.2303  0.2303  0.0000
Li  0.5000  0.0000  0.5000
Li  0.7697  0.7697  0.0000
Sb  0.5000  0.5000  0.0000
Se  0.1362  0.6037  0.0000
Se  0.3963  0.3963  0.5326
Se  0.6037  0.1362  0.0000
Se  0.8638  0.8638  0.4674

Top 10 peaks for 2θ = 10–90°, by angle:
| two_theta | I_rel |
| --- | --- |
| 15.80 | 535 |
| 19.72 | 123 |
| 24.85 | 1000 |
| 39.01 | 131 |
| 40.06 | 253 |
| 41.66 | 458 |
| 47.71 | 307 |
| 50.50 | 136 |
| 66.33 | 110 |
| 73.87 | 147 |